Computed powder diffraction line list
Compound: K3Pm2HfTe6
Radiation: Cu Kα X-rays
Structure: a DFT-relaxed cell (GGA-PBE, Alexandria)
Neutral-atom scattering factors, no anomalous dispersion.

Most intense lines, 2θ from 10° to 90°, low angle first:
| 2theta | I_rel | hkl |
| --- | --- | --- |
| 10.7 | 48 | 0 0 1 |
| 27.3 | 100 | 1 3 1 |
| 34.3 | 19 | 2 0 -3 |
| 37.2 | 36 | 2 0 2 |
| 40.6 | 35 | 0 6 0 |
| 49.6 | 18 | 4 0 0 |

a = 7.6932 Å, b = 13.3304 Å, c = 8.6851 Å
α = 90.00°, β = 107.28°, γ = 90.00°
Space group C2/m (No. 12)
Asymmetric unit:
K 0.0000 0.0000 0.0000 [2 per cell]
K 0.0000 0.3270 0.0000 [4 per cell]
Pm 0.0000 0.1659 0.5000 [4 per cell]
Hf 0.0000 0.5000 0.5000 [2 per cell]
Te 0.2258 0.3437 0.7089 [8 per cell]
Te 0.2411 0.5000 0.2895 [4 per cell]

---

Computed powder diffraction line list
Compound: MgUNi6
Radiation: Cu Kα X-rays
Structure: a DFT-relaxed cell (GGA-PBE, Alexandria)
Neutral-atom scattering factors, no anomalous dispersion.

Most intense lines, 2θ from 10° to 90°, low angle first:
| 2theta | I_rel | hkl |
| --- | --- | --- |
| 14.5 | 16 | 1 1 0 |
| 42.0 | 100 | 2 4 0 |
| 48.7 | 16 | 4 0 0 |
| 48.9 | 31 | 0 4 4 |
| 71.5 | 19 | 4 4 4 |
| 86.7 | 22 | 2 8 4 |

a = 7.4787 Å, b = 10.5317 Å, c = 10.5332 Å
α = 90.00°, β = 90.00°, γ = 90.00°
Space group Cmmm (No. 65)
Asymmetric unit:
Mg 0.0000 0.0000 0.2436 [4 per cell]
Mg 0.0000 0.2481 0.0000 [4 per cell]
U 0.0000 0.2452 0.5000 [4 per cell]
U 0.0000 0.5000 0.2356 [4 per cell]
Ni 0.0000 0.0000 0.0000 [2 per cell]
Ni 0.0000 0.0000 0.5000 [2 per cell]
Ni 0.0000 0.2503 0.2523 [8 per cell]
Ni 0.0000 0.5000 0.0000 [2 per cell]
Ni 0.0000 0.5000 0.5000 [2 per cell]
Ni 0.2472 0.3757 0.1248 [16 per cell]
Ni 0.2476 0.3757 0.3745 [16 per cell]

---

Computed powder diffraction line list
Compound: Rb4BaOs3O12
Radiation: Cu Kα X-rays
Structure: a DFT-relaxed cell (GGA-PBE, Alexandria)
Neutral-atom scattering factors, no anomalous dispersion.

Most intense lines, 2θ from 10° to 90°, low angle first:
| 2theta | I_rel | hkl |
| --- | --- | --- |
| 20.9 | 22 | 2 0 0 |
| 29.8 | 100 | 2 2 0 |
| 42.6 | 29 | 4 0 0 |
| 52.9 | 40 | 4 2 2 |
| 70.2 | 19 | 6 2 0 |
| 85.7 | 22 | 6 4 2 |

a = 8.4822 Å, b = 8.4822 Å, c = 8.4822 Å
α = 90.00°, β = 90.00°, γ = 90.00°
Space group Im-3m (No. 229)
Asymmetric unit:
Rb 0.2500 0.2500 0.2500 [8 per cell]
Ba 0.0000 0.0000 0.0000 [2 per cell]
Os 0.0000 0.0000 0.5000 [6 per cell]
O 0.0000 0.0000 0.2880 [12 per cell]
O 0.0000 0.2500 0.5000 [12 per cell]